# 1
Starting from DFT lattice parameters and positions (GGA-PBE), the X-ray powder pattern of Ce3SiCl5O4 was calculated for Cu Kα (weighted mean of Kα1 and Kα2).
No peak broadening, texture or thermal motion is included.

Lattice parameters (Å, degrees): 16.2596 14.2648 4.2378 90.00 90.00 90.00
Atoms (fractional coordinates):
Ce 0.1261 0.0845 0.0000
Ce 0.1269 0.4339 0.5011
Ce 0.1327 0.7533 0.4999
Ce 0.3673 0.2533 0.9999
Ce 0.3731 0.9339 0.0011
Ce 0.3739 0.5845 0.5000
Ce 0.6261 0.4155 0.0000
Ce 0.6269 0.0661 0.5011
Ce 0.6327 0.7467 0.4999
Ce 0.8673 0.2467 0.9999
Ce 0.8731 0.5661 0.0011
Ce 0.8739 0.9155 0.5000
Si 0.2095 0.5918 0.9317
Si 0.2905 0.0918 0.4317
Si 0.7095 0.9082 0.9317
Si 0.7905 0.4082 0.4317
Cl 0.0122 0.5964 0.5109
Cl 0.0198 0.2127 0.5143
Cl 0.0561 0.9463 0.5107
Cl 0.1791 0.2796 0.0112
Cl 0.1996 0.8962 0.0111
Cl 0.3004 0.3962 0.5111
Cl 0.3209 0.7796 0.5112
Cl 0.4439 0.4463 0.0107
Cl 0.4802 0.7127 0.0143
Cl 0.4878 0.0964 0.0109
Cl 0.5122 0.9036 0.5109
Cl 0.5198 0.2873 0.5143
Cl 0.5561 0.5537 0.5107
Cl 0.6791 0.2204 0.0112
Cl 0.6996 0.6038 0.0111
Cl 0.8004 0.1038 0.5111
Cl 0.8209 0.7204 0.5112
Cl 0.9439 0.0537 0.0107
Cl 0.9802 0.7873 0.0143
Cl 0.9878 0.4036 0.0109
O 0.1585 0.4951 0.0126
O 0.1604 0.6899 0.0113
O 0.1916 0.0912 0.5121
O 0.2081 0.5914 0.5388
O 0.2919 0.0914 0.0388
O 0.3084 0.5912 0.0121
O 0.3396 0.1899 0.5113
O 0.3415 0.9951 0.5126
O 0.6585 0.0049 0.0126
O 0.6604 0.8101 0.0113
O 0.6916 0.4088 0.5121
O 0.7081 0.9086 0.5388
O 0.7919 0.4086 0.0388
O 0.8084 0.9088 0.0121
O 0.8396 0.3101 0.5113
O 0.8415 0.5049 0.5126

Main lines, sorted by position (15 to 90 degrees two-theta):
d 4.104, 2θ = 21.65°, rel. 100; d 4.064, 2θ = 21.87°, rel. 67; d 3.941, 2θ = 22.56°, rel. 35; d 2.426, 2θ = 37.06°, rel. 29; d 2.377, 2θ = 37.84°, rel. 29; d 2.354, 2θ = 38.23°, rel. 65; d 2.119, 2θ = 42.67°, rel. 35; d 1.575, 2θ = 58.62°, rel. 37

# 2
Starting from DFT lattice parameters and positions (GGA-PBE), the X-ray powder pattern of Mg14BiMo was calculated for Cu Kα (weighted mean of Kα1 and Kα2).
No peak broadening, texture or thermal motion is included.

Lattice parameters (Å, degrees): 10.2544 6.3394 6.3394 60.06 90.00 90.00
Atoms (fractional coordinates):
Mg 0.0000 0.0000 0.0000
Mg 0.0000 0.0009 0.4987
Mg 0.0000 0.4987 0.0009
Mg 0.0000 0.4993 0.4993
Mg 0.2450 0.6681 0.6681
Mg 0.2521 0.1596 0.6750
Mg 0.2521 0.6750 0.1596
Mg 0.2549 0.1625 0.1625
Mg 0.5000 0.0000 0.4986
Mg 0.5000 0.4986 0.0000
Mg 0.7451 0.1625 0.1625
Mg 0.7479 0.1596 0.6750
Mg 0.7479 0.6750 0.1596
Mg 0.7550 0.6681 0.6681
Bi 0.5000 0.5028 0.5028
Mo 0.5000 0.9990 0.9990

Main lines, sorted by position (15 to 90 degrees two-theta):
d 5.490, 2θ = 16.15°, rel. 31; d 4.840, 2θ = 18.33°, rel. 47; d 3.747, 2θ = 23.75°, rel. 26; d 2.746, 2θ = 32.61°, rel. 33; d 2.652, 2θ = 33.79°, rel. 24; d 2.564, 2θ = 35.00°, rel. 25; d 2.421, 2θ = 37.14°, rel. 100; d 1.874, 2θ = 48.59°, rel. 21

# 3
Starting from DFT lattice parameters and positions (GGA-PBE), the X-ray powder pattern of MoWSe4 was calculated for Cu Kα (weighted mean of Kα1 and Kα2).
No peak broadening, texture or thermal motion is included.

Lattice parameters (Å, degrees): 3.3276 3.3276 14.3233 90.00 90.00 120.00
Atoms (fractional coordinates):
Mo 0.0000 0.0000 0.0000
W 0.3333 0.6667 0.5000
Se 0.0000 0.0000 0.3826
Se 0.0000 0.0000 0.6174
Se 0.3333 0.6667 0.1168
Se 0.3333 0.6667 0.8832

Main lines, sorted by position (15 to 90 degrees two-theta):
d 2.882, 2θ = 31.03°, rel. 44; d 2.673, 2θ = 33.52°, rel. 22; d 2.467, 2θ = 36.42°, rel. 100; d 2.032, 2θ = 44.60°, rel. 78; d 1.664, 2θ = 55.21°, rel. 32; d 1.379, 2θ = 67.95°, rel. 16; d 1.287, 2θ = 73.58°, rel. 18; d 1.219, 2θ = 78.47°, rel. 21

# 4
Starting from DFT lattice parameters and positions (GGA-PBE), the X-ray powder pattern of CeSiGePd2 was calculated for Cu Kα (weighted mean of Kα1 and Kα2).
No peak broadening, texture or thermal motion is included.

Lattice parameters (Å, degrees): 5.9021 5.9021 5.9021 137.75 137.75 61.28
Atoms (fractional coordinates):
Ce 0.0000 0.0000 0.0000
Si 0.3770 0.3770 0.0000
Ge 0.6144 0.6144 0.0000
Pd 0.2569 0.7569 0.5000
Pd 0.7569 0.2569 0.5000

Main lines, sorted by position (15 to 90 degrees two-theta):
d 2.649, 2θ = 33.84°, rel. 32; d 2.588, 2θ = 34.66°, rel. 100; d 2.127, 2θ = 42.50°, rel. 43; d 1.833, 2θ = 49.74°, rel. 13; d 1.658, 2θ = 55.40°, rel. 16; d 1.504, 2θ = 61.67°, rel. 14; d 1.475, 2θ = 63.01°, rel. 13; d 1.300, 2θ = 72.72°, rel. 22

Copy entry 2 word for word.
Starting from DFT lattice parameters and positions (GGA-PBE), the X-ray powder pattern of Mg14BiMo was calculated for Cu Kα (weighted mean of Kα1 and Kα2).
No peak broadening, texture or thermal motion is included.

Lattice parameters (Å, degrees): 10.2544 6.3394 6.3394 60.06 90.00 90.00
Atoms (fractional coordinates):
Mg 0.0000 0.0000 0.0000
Mg 0.0000 0.0009 0.4987
Mg 0.0000 0.4987 0.0009
Mg 0.0000 0.4993 0.4993
Mg 0.2450 0.6681 0.6681
Mg 0.2521 0.1596 0.6750
Mg 0.2521 0.6750 0.1596
Mg 0.2549 0.1625 0.1625
Mg 0.5000 0.0000 0.4986
Mg 0.5000 0.4986 0.0000
Mg 0.7451 0.1625 0.1625
Mg 0.7479 0.1596 0.6750
Mg 0.7479 0.6750 0.1596
Mg 0.7550 0.6681 0.6681
Bi 0.5000 0.5028 0.5028
Mo 0.5000 0.9990 0.9990

Main lines, sorted by position (15 to 90 degrees two-theta):
d 5.490, 2θ = 16.15°, rel. 31; d 4.840, 2θ = 18.33°, rel. 47; d 3.747, 2θ = 23.75°, rel. 26; d 2.746, 2θ = 32.61°, rel. 33; d 2.652, 2θ = 33.79°, rel. 24; d 2.564, 2θ = 35.00°, rel. 25; d 2.421, 2θ = 37.14°, rel. 100; d 1.874, 2θ = 48.59°, rel. 21

Q: Which formula does entry 1 have?
A: Ce3SiCl5O4